No. 1
Computed powder diffractogram
Compound: Ga3Te
Radiation: Cu Kα, 1.54184 Å
Structure: a structure optimized by DFT (GGA-PBE)
Intensities are scaled so that the largest is 100.

Top 10 peaks for 5 to 70 degrees two-theta, low angle first:
Position (°2θ), Rel. int.
17.77, 3
22.23, 6
33.87, 2
34.15, 100
35.98, 22
41.37, 29
47.46, 2
55.97, 24
59.94, 10
63.52, 16

Crystal structure
Cell lengths 4.3651, 4.3651, 9.9838 Å; angles 90.00, 90.00, 90.00 degrees
Space group I4/mmm (No. 139)
Unique sites:
Ga: 0.0000 0.0000 0.0000 x2
Ga: 0.0000 0.5000 0.2500 x4
Te: 0.0000 0.0000 0.5000 x2

No. 2
Computed powder diffractogram
Compound: Nd3Ga4Si2
Radiation: Cu Kα, 1.54184 Å
Structure: a structure optimized by DFT (GGA-PBE)
Intensities are scaled so that the largest is 100.

Top 10 peaks for 5 to 70 degrees two-theta, low angle first:
Position (°2θ), Rel. int.
27.84, 14
28.18, 24
32.31, 100
37.49, 27
37.75, 21
42.16, 20
43.11, 18
57.86, 12
58.43, 15
61.88, 12

Crystal structure
Cell lengths 4.1969, 4.2864, 43.4251 Å; angles 90.00, 90.00, 90.00 degrees
Space group Imm2 (No. 44)
Unique sites:
Nd: 0.0000 0.0000 0.0000 x2
Nd: 0.0000 0.0000 0.3320 x2
Nd: 0.0000 0.0000 0.6649 x2
Nd: 0.0000 0.5000 0.0830 x2
Nd: 0.0000 0.5000 0.4171 x2
Nd: 0.0000 0.5000 0.7504 x2
Ga: 0.0000 0.0000 0.1937 x2
Ga: 0.0000 0.0000 0.5275 x2
Ga: 0.0000 0.0000 0.8606 x2
Ga: 0.0000 0.5000 0.2212 x2
Ga: 0.0000 0.5000 0.2772 x2
Ga: 0.0000 0.5000 0.6104 x2
Ga: 0.0000 0.5000 0.8881 x2
Ga: 0.0000 0.5000 0.9442 x2
Si: 0.0000 0.0000 0.1385 x2
Si: 0.0000 0.0000 0.4722 x2
Si: 0.0000 0.0000 0.8056 x2
Si: 0.0000 0.5000 0.5550 x2

No. 3
Computed powder diffractogram
Compound: La3B2N4
Radiation: Cu Kα, 1.54184 Å
Structure: a structure optimized by DFT (GGA-PBE)
Intensities are scaled so that the largest is 100.

Top 10 peaks for 5 to 70 degrees two-theta, low angle first:
Position (°2θ), Rel. int.
25.77, 16
27.80, 32
28.03, 60
32.62, 100
38.27, 31
48.34, 22
49.33, 17
52.31, 22
56.68, 20
58.39, 15

Crystal structure
Cell lengths 3.6413, 6.4183, 10.9984 Å; angles 90.00, 90.00, 90.00 degrees
Space group Immm (No. 71)
Unique sites:
La: 0.0000 0.0000 0.0000 x2
La: 0.0000 0.5000 0.2008 x4
B: 0.0000 0.1425 0.5000 x4
N: 0.0000 0.2550 0.3825 x8